No. 1
Starting from a crystal structure in Alexandria, relaxed with PBE, the powder XRD pattern of Cu3TePbO7 was simulated for CuKα.
Intensities are scaled so that the largest is 100.

Principal peaks in the range 15° ≤ 2θ ≤ 90°, low angle first:
- hkl 1 1 1, 2θ 18.9, rel. 32
- hkl 2 1 2, 2θ 29.6, rel. 100
- hkl 3 1 1, 2θ 30.1, rel. 78
- hkl 1 2 1, 2θ 30.7, rel. 37
- hkl 0 1 3, 2θ 33.6, rel. 32
- hkl 2 2 1, 2θ 34.0, rel. 52

Cell and atoms:
Cell lengths 10.8492, 6.4308, 8.7988 Å; angles 90.00, 90.00, 90.00 degrees
Space group Pnma (No. 62)
Symmetry-distinct sites (fractional):
Cu 0.1085 0.0096 0.1253 x8
Cu 0.2463 0.2500 0.4089 x4
Te 0.1126 0.2500 0.7964 x4
Pb 0.1131 0.7500 0.5437 x4
O 0.0115 0.0291 0.7050 x8
O 0.0204 0.7500 0.0470 x4
O 0.1959 0.2500 0.2040 x4
O 0.2033 0.0432 0.9282 x8
O 0.2347 0.2500 0.6402 x4

***

No. 2
Starting from a crystal structure in Alexandria, relaxed with PBE, the powder XRD pattern of CuTe2Pb3O9 was simulated for CuKα.
Intensities are scaled so that the largest is 100.

Principal peaks in the range 15° ≤ 2θ ≤ 90°, low angle first:
- hkl 1 0 1, 2θ 21.6, rel. 21
- hkl 0 1 2, 2θ 30.6, rel. 99
- hkl 1 1 0, 2θ 30.8, rel. 100
- hkl 2 0 2, 2θ 44.0, rel. 55
- hkl 3 0 0, 2θ 54.7, rel. 61
- hkl 4 1 0, 2θ 89.1, rel. 22

Cell and atoms:
Cell lengths 5.8115, 5.8115, 7.1684 Å; angles 90.00, 90.00, 120.00 degrees
Space group P-3m1 (No. 164)
Symmetry-distinct sites (fractional):
Cu 0.0000 0.0000 0.0000 x1
Te 0.3333 0.6667 0.6754 x2
Pb 0.0000 0.0000 0.5000 x1
Pb 0.3333 0.6667 0.1423 x2
O 0.0000 0.5000 0.5000 x3
O 0.1706 0.3413 0.8291 x6